Diffraction record for Pr4V5Si4O22. The powder X-ray diffraction pattern is theoretical, not measured: it uses a cell relaxed with GGA+U and CuKα.

Structural model:
```
Pr4V5Si4O22
1.0
6.782 -2.860 0.000
6.782 2.860 0.000
-2.037 0.000 10.990
Pr V Si O
4 5 4 22
Direct
0.073 0.073 0.249
0.356 0.356 0.243
0.644 0.644 0.757
0.927 0.927 0.751
0.000 0.000 0.500
0.000 0.500 0.500
0.500 0.000 0.500
0.500 0.500 0.000
0.500 0.500 0.500
0.138 0.138 0.958
0.297 0.297 0.771
0.703 0.703 0.229
0.862 0.862 0.042
0.037 0.512 0.689
0.143 0.143 0.477
0.165 0.695 0.088
0.186 0.186 0.100
0.219 0.736 0.369
0.222 0.222 0.869
0.264 0.781 0.631
0.305 0.835 0.912
0.350 0.350 0.481
0.413 0.413 0.838
0.488 0.963 0.311
0.512 0.037 0.689
0.587 0.587 0.162
0.650 0.650 0.519
0.695 0.165 0.088
0.736 0.219 0.369
0.778 0.778 0.131
0.781 0.264 0.631
0.814 0.814 0.900
0.835 0.305 0.912
0.857 0.857 0.523
0.963 0.488 0.311
```

Principal peaks in the range 2θ = 15–90°, in order of falling intensity:
d (Å)	2theta	I_rel
3.212	27.77	100.0
3.172	28.13	77.0
2.739	32.70	70.6
2.748	32.59	66.7
4.615	19.23	63.8
2.860	31.28	62.6
1.982	45.79	56.3
3.113	28.68	54.7
4.881	18.18	52.3
5.495	16.13	45.9